(1)
For CaMn2P2O8, a structure optimized by DFT (GGA+U) gives the simulated powder X-ray diffraction pattern in this record (Cu Kα (λ = 1.5418 Å)).

Structure:
```
CaMn2P2O8
1.0
8.745 -2.547 0.000
8.745 2.547 0.000
-8.320 0.000 15.377
Ca Mn P O
4 8 8 32
Cartesian
-1.033 0.900 12.143
4.585 1.652 7.688
3.127 -0.900 4.455
8.745 -1.652 0.000
-4.668 0.775 13.769
3.509 1.061 1.631
1.837 1.267 9.944
8.367 1.480 2.844
-0.508 -0.775 6.081
-0.651 -1.061 9.319
5.997 -1.267 2.255
4.207 -1.480 10.532
6.479 1.174 0.183
5.409 1.365 4.277
10.920 1.079 0.558
5.533 1.072 11.600
2.318 -1.174 7.871
1.249 -1.365 11.965
6.760 -1.079 8.246
9.693 -1.072 3.911
-1.806 0.565 7.020
-0.897 1.160 9.331
2.340 1.120 3.335
6.854 2.114 1.384
4.933 1.256 0.011
-1.088 1.648 14.342
0.775 0.564 5.143
-5.966 -0.565 14.708
4.646 0.884 5.504
6.952 1.265 4.460
9.507 1.415 1.110
5.040 0.414 3.076
4.409 1.378 10.539
-3.385 -0.564 12.832
2.722 0.271 8.271
-1.820 -1.120 11.024
3.263 -1.160 1.643
0.880 -0.414 10.764
6.882 -0.271 0.582
0.773 -1.256 7.700
6.797 0.450 7.932
9.660 0.457 4.232
0.486 -0.884 13.192
3.072 -1.648 6.653
10.957 -0.450 0.244
5.500 -0.457 11.920
2.792 -1.265 12.149
8.570 -1.378 2.850
2.694 -2.114 9.073
13.770 0.266 3.873
5.347 -1.415 8.799
9.610 -0.266 11.561
```

Principal peaks in the range 2θ = 10–80°, by angle:
- 11.5 deg, I 575
- 18.4 deg, I 586
- 23.1 deg, I 318
- 27.2 deg, I 836
- 31.1 deg, I 637
- 31.2 deg, I 1000
- 31.4 deg, I 238
- 34.8 deg, I 496
- 35.2 deg, I 494
- 42.1 deg, I 199
- 47.7 deg, I 309
- 48.5 deg, I 178


(2)
For CaMn2P2O9, a structure optimized by DFT (GGA+U) gives the simulated powder X-ray diffraction pattern in this record (Cu Kα (λ = 1.5418 Å)).

Structure:
```
CaMn2P2O9
1.0
14.360 0.000 0.000
0.000 6.581 0.000
0.000 0.000 7.412
Ca Mn P O
4 8 8 36
Cartesian
3.158 1.645 0.854
4.022 4.935 4.560
10.338 1.645 2.853
11.202 4.935 6.559
0.000 0.000 0.000
0.000 3.290 0.000
1.723 1.645 4.810
5.456 4.935 1.103
7.180 0.000 3.706
7.180 3.290 3.706
8.903 1.645 6.309
12.636 4.935 2.603
0.943 4.935 4.710
2.793 4.935 0.815
4.387 1.645 4.521
6.237 1.645 1.004
8.122 4.935 6.408
9.973 4.935 2.891
11.566 1.645 6.597
13.417 1.645 2.702
0.098 1.645 3.804
0.220 4.935 6.085
0.776 1.645 6.494
1.912 3.730 4.643
1.912 6.141 4.643
1.942 3.655 0.795
1.942 6.216 0.795
3.312 1.645 3.386
3.461 1.645 5.801
3.719 4.935 2.095
3.868 4.935 7.093
5.238 0.365 4.501
5.238 2.926 4.501
5.267 0.440 0.937
5.267 2.851 0.937
6.403 4.935 2.788
6.960 1.645 2.379
7.082 4.935 0.098
7.278 1.645 7.314
7.400 4.935 5.033
7.956 1.645 4.624
9.092 3.730 6.475
9.092 6.141 6.475
9.122 3.655 2.911
9.122 6.216 2.911
10.492 1.645 0.320
10.641 1.645 5.317
10.898 4.935 1.611
11.047 4.935 4.026
12.418 0.365 6.618
12.418 2.926 6.618
12.447 0.440 2.769
12.447 2.851 2.769
13.583 4.935 0.918
14.139 1.645 1.327
14.261 4.935 3.608
```

Principal peaks in the range 2θ = 10–80°, by angle:
- 13.4 deg, I 153
- 17.2 deg, I 321
- 24.8 deg, I 1000
- 27.1 deg, I 440
- 27.6 deg, I 239
- 29.9 deg, I 153
- 30.4 deg, I 404
- 33.5 deg, I 295
- 35.2 deg, I 180
- 39.1 deg, I 164
- 55.9 deg, I 255
- 56.5 deg, I 236


(3)
For CaMnP2O7, a structure optimized by DFT (GGA+U) gives the simulated powder X-ray diffraction pattern in this record (Cu Kα (λ = 1.5418 Å)).

Structure:
```
CaMnP2O7
1.0
6.635 0.000 0.000
0.885 6.608 0.000
0.454 2.710 6.241
Ca Mn P O
2 2 4 14
Cartesian
1.293 2.386 2.062
6.682 6.932 4.180
3.003 4.607 4.574
4.972 4.711 1.668
1.725 5.487 1.550
3.587 7.924 5.168
4.388 1.394 1.073
6.250 3.831 4.692
0.835 4.751 4.896
1.405 6.797 2.244
2.302 5.942 0.130
2.737 6.738 4.728
2.814 4.634 2.259
2.835 2.425 4.117
3.022 1.800 0.481
4.953 7.518 5.761
5.140 6.893 2.125
5.161 4.684 3.983
5.238 2.579 1.513
5.673 3.375 6.112
6.570 2.520 3.998
7.141 4.567 1.346
```

Principal peaks in the range 2θ = 10–80°, by angle:
- 15.8 deg, I 175
- 19.8 deg, I 179
- 27.1 deg, I 507
- 28.6 deg, I 1000
- 28.7 deg, I 839
- 29.5 deg, I 141
- 30.5 deg, I 736
- 30.9 deg, I 703
- 34.0 deg, I 150
- 37.8 deg, I 163
- 41.1 deg, I 210
- 49.6 deg, I 179